The following is a simulated powder diffraction line list of Zr5Ti7O24. It was derived from a cell relaxed with GGA-PBE, using Cu Kα, 1.54184 Å.
Intensities are scaled so that the largest is 100.

Peak list (10 most intense, 2θ = 15–90°, in order of rising 2θ)
index	2θ/deg	d_spacing	intensity
1 1 0	24.30	3.663	42
1 1 -3	29.80	2.999	100
1 1 3	30.40	2.940	95
0 2 0	31.67	2.826	21
0 0 6	35.42	2.534	19
0 2 6	48.24	1.886	19
2 2 0	49.79	1.831	18
2 0 -6	51.68	1.769	21
1 3 0	52.15	1.754	20
0 2 9	64.25	1.450	22

```
Zr5Ti7O24
1.0
4.812 0.000 0.000
0.000 5.651 0.000
-0.416 0.000 15.205
Zr Ti O
5 7 24
direct
0.000 0.000 0.000
0.000 0.391 0.500
0.011 0.990 0.334
0.500 0.497 0.000
0.989 0.990 0.666
0.012 0.375 0.170
0.487 0.509 0.670
0.489 0.872 0.833
0.500 0.857 0.500
0.511 0.872 0.167
0.513 0.509 0.330
0.988 0.375 0.830
0.200 0.299 0.937
0.213 0.069 0.782
0.229 0.297 0.616
0.241 0.309 0.277
0.242 0.074 0.449
0.247 0.569 0.774
0.260 0.080 0.112
0.261 0.577 0.113
0.261 0.778 0.600
0.287 0.795 0.938
0.289 0.582 0.433
0.318 0.802 0.273
0.682 0.802 0.727
0.711 0.582 0.567
0.713 0.795 0.062
0.739 0.577 0.887
0.739 0.778 0.400
0.740 0.080 0.888
0.753 0.569 0.226
0.758 0.074 0.551
0.759 0.309 0.723
0.771 0.297 0.384
0.787 0.069 0.218
0.800 0.299 0.063
```

The following is a simulated powder diffraction line list of Mo3WSe2S6. It was derived from a cell relaxed with GGA-PBE, using Cu Kα, 1.54184 Å.
Intensities are scaled so that the largest is 100.

Peak list (10 most intense, 2θ = 15–90°, in order of rising 2θ)
index	2θ/deg	d_spacing	intensity
1 0 0	32.07	2.791	38
1 0 3	32.94	2.719	16
1 0 5	34.43	2.605	24
0 1 7	36.57	2.457	19
1 0 8	37.85	2.377	100
1 0 9	39.26	2.295	21
0 1 13	45.98	1.974	61
1 0 14	47.89	1.900	24
1 1 0	57.19	1.611	38
1 1 5	58.70	1.573	18

```
Mo3WSe2S6
1.0
3.222 0.000 0.000
-1.611 2.791 0.000
0.000 0.000 36.303
Mo W Se S
3 1 2 6
direct
0.000 0.000 0.000
0.000 0.000 0.376
0.667 0.333 0.812
0.667 0.333 0.188
0.000 0.000 0.140
0.000 0.000 0.235
0.000 0.000 0.769
0.000 0.000 0.855
0.667 0.333 0.043
0.667 0.333 0.333
0.667 0.333 0.419
0.667 0.333 0.957
```

The following is a simulated powder diffraction line list of TbSnPd. It was derived from a cell relaxed with GGA-PBE, using Cu Kα, 1.54184 Å.
Intensities are scaled so that the largest is 100.

Peak list (10 most intense, 2θ = 15–90°, in order of rising 2θ)
index	2θ/deg	d_spacing	intensity
1 1 2	31.96	2.800	37
2 1 1	33.22	2.697	100
2 0 2	33.33	2.688	41
0 2 0	38.63	2.331	41
0 1 3	38.90	2.315	84
2 2 2	51.92	1.761	23
3 2 1	55.96	1.643	15
3 1 4	63.57	1.464	21
2 3 1	66.49	1.406	14
5 1 2	72.08	1.310	14

```
TbSnPd
1.0
7.263 0.000 0.000
0.000 4.661 0.000
0.000 0.000 7.998
Tb Sn Pd
4 4 4
direct
0.010 0.250 0.208
0.490 0.750 0.708
0.510 0.250 0.292
0.990 0.750 0.792
0.197 0.250 0.589
0.303 0.750 0.089
0.697 0.250 0.911
0.803 0.750 0.411
0.203 0.750 0.417
0.297 0.250 0.917
0.703 0.750 0.083
0.797 0.250 0.583
```